1.
The following is a calculated powder diffractogram of Ac6GePt4. It was derived from a cell relaxed with PBE, using Cu Kα (λ = 1.5418 Å).
No peak broadening, texture or thermal motion is included.

The 12 most intense peaks (15° ≤ 2θ ≤ 90°), low angle first:
- 26.98°, 3.304 Å, intensity 83
- 27.60°, 3.232 Å, intensity 52
- 28.47°, 3.135 Å, intensity 100
- 29.88°, 2.990 Å, intensity 75
- 30.69°, 2.913 Å, intensity 33
- 38.71°, 2.326 Å, intensity 41
- 40.53°, 2.226 Å, intensity 48
- 40.76°, 2.214 Å, intensity 46
- 42.35°, 2.134 Å, intensity 66
- 42.51°, 2.126 Å, intensity 25
- 49.56°, 1.839 Å, intensity 39
- 66.79°, 1.401 Å, intensity 24

Crystal structure
```
Ac6GePt4
1.0
2.214 -7.260 0.000
2.214 7.260 0.000
0.000 0.000 22.265
Ac Ge Pt
12 2 8
Direct
0.000 0.000 0.000 Ac
0.000 0.000 0.500 Ac
0.187 0.813 0.750 Ac
0.272 0.728 0.083 Ac
0.272 0.728 0.417 Ac
0.456 0.544 0.662 Ac
0.456 0.544 0.838 Ac
0.544 0.456 0.162 Ac
0.544 0.456 0.338 Ac
0.728 0.272 0.583 Ac
0.728 0.272 0.917 Ac
0.813 0.187 0.250 Ac
0.154 0.846 0.250 Ge
0.846 0.154 0.750 Ge
0.095 0.905 0.627 Pt
0.095 0.905 0.873 Pt
0.363 0.637 0.543 Pt
0.363 0.637 0.957 Pt
0.637 0.363 0.043 Pt
0.637 0.363 0.457 Pt
0.905 0.095 0.127 Pt
0.905 0.095 0.373 Pt
```

2.
The following is a calculated powder diffractogram of Y2Th2Se7. It was derived from a cell relaxed with PBE, using Cu Kα (λ = 1.5418 Å).
No peak broadening, texture or thermal motion is included.

The 12 most intense peaks (15° ≤ 2θ ≤ 90°), low angle first:
- 19.20°, 4.622 Å, intensity 12
- 22.25°, 3.996 Å, intensity 100
- 26.57°, 3.355 Å, intensity 12
- 36.63°, 2.453 Å, intensity 50
- 36.78°, 2.444 Å, intensity 94
- 43.27°, 2.091 Å, intensity 35
- 43.53°, 2.079 Å, intensity 16
- 52.77°, 1.735 Å, intensity 17
- 58.16°, 1.586 Å, intensity 14
- 66.04°, 1.415 Å, intensity 34
- 66.33°, 1.409 Å, intensity 15
- 89.32°, 1.097 Å, intensity 16

Crystal structure
```
Y2Th2Se7
1.0
4.907 0.000 0.000
0.000 4.907 0.000
0.000 0.000 13.771
Y Th Se
2 2 7
Direct
0.000 0.500 0.137 Y
0.500 0.000 0.863 Y
0.000 0.500 0.628 Th
0.500 0.000 0.372 Th
0.000 0.000 0.232 Se
0.000 0.000 0.500 Se
0.000 0.000 0.768 Se
0.500 0.500 0.000 Se
0.500 0.500 0.253 Se
0.500 0.500 0.500 Se
0.500 0.500 0.747 Se
```

3.
The following is a calculated powder diffractogram of AlCrRh6. It was derived from a cell relaxed with PBE, using Cu Kα (λ = 1.5418 Å).
No peak broadening, texture or thermal motion is included.

The 12 most intense peaks (15° ≤ 2θ ≤ 90°), low angle first:
- 23.34°, 3.811 Å, intensity 7
- 23.46°, 3.792 Å, intensity 4
- 33.30°, 2.691 Å, intensity 9
- 41.09°, 2.197 Å, intensity 100
- 47.72°, 1.906 Å, intensity 32
- 47.98°, 1.896 Å, intensity 16
- 53.81°, 1.704 Å, intensity 3
- 69.79°, 1.348 Å, intensity 10
- 70.00°, 1.344 Å, intensity 20
- 84.31°, 1.149 Å, intensity 24
- 84.69°, 1.144 Å, intensity 12
- 89.15°, 1.098 Å, intensity 11

Crystal structure
```
AlCrRh6
1.0
5.390 0.000 0.000
0.000 5.390 0.000
0.000 0.000 3.792
Al Cr Rh
1 1 6
Direct
0.000 0.000 0.000 Al
0.500 0.500 0.000 Cr
0.000 0.500 0.000 Rh
0.255 0.255 0.500 Rh
0.255 0.745 0.500 Rh
0.500 0.000 0.000 Rh
0.745 0.255 0.500 Rh
0.745 0.745 0.500 Rh
```

4.
The following is a calculated powder diffractogram of CaAc5Pb6. It was derived from a cell relaxed with PBE, using Cu Kα (λ = 1.5418 Å).
No peak broadening, texture or thermal motion is included.

The 12 most intense peaks (15° ≤ 2θ ≤ 90°), low angle first:
- 30.01°, 2.978 Å, intensity 100
- 32.50°, 2.755 Å, intensity 20
- 32.87°, 2.725 Å, intensity 20
- 38.69°, 2.327 Å, intensity 13
- 46.79°, 1.942 Å, intensity 7
- 51.40°, 1.778 Å, intensity 11
- 51.65°, 1.770 Å, intensity 11
- 56.37°, 1.632 Å, intensity 9
- 56.51°, 1.628 Å, intensity 9
- 56.85°, 1.619 Å, intensity 9
- 57.00°, 1.616 Å, intensity 9
- 64.72°, 1.440 Å, intensity 12

Crystal structure
```
CaAc5Pb6
1.0
8.692 -4.654 0.000
8.692 4.654 0.000
-1.686 0.000 5.182
Ca Ac Pb
1 5 6
Direct
0.000 0.000 0.000 Ca
0.161 0.161 0.660 Ac
0.333 0.333 0.333 Ac
0.500 0.500 0.000 Ac
0.667 0.667 0.667 Ac
0.839 0.839 0.340 Ac
0.084 0.588 0.836 Pb
0.246 0.754 0.500 Pb
0.412 0.916 0.164 Pb
0.588 0.084 0.836 Pb
0.754 0.246 0.500 Pb
0.916 0.412 0.164 Pb
```

5.
The following is a calculated powder diffractogram of Pr4SmEr2Mg. It was derived from a cell relaxed with PBE, using Cu Kα (λ = 1.5418 Å).
No peak broadening, texture or thermal motion is included.

The 12 most intense peaks (15° ≤ 2θ ≤ 90°), low angle first:
- 19.03°, 4.664 Å, intensity 7
- 30.82°, 2.901 Å, intensity 54
- 31.56°, 2.835 Å, intensity 100
- 44.15°, 2.051 Å, intensity 20
- 46.30°, 1.961 Å, intensity 8
- 55.28°, 1.662 Å, intensity 41
- 56.66°, 1.624 Å, intensity 18
- 64.21°, 1.450 Å, intensity 7
- 65.90°, 1.417 Å, intensity 11
- 72.92°, 1.297 Å, intensity 9
- 73.32°, 1.291 Å, intensity 9
- 76.48°, 1.245 Å, intensity 7

Crystal structure
```
Pr4SmEr2Mg
1.0
5.798 0.000 0.000
0.000 5.805 0.000
0.000 0.000 7.843
Pr Sm Er Mg
4 1 2 1
Direct
0.000 0.000 0.235 Pr
0.000 0.000 0.765 Pr
0.500 0.500 0.237 Pr
0.500 0.500 0.763 Pr
0.000 0.500 0.500 Sm
0.000 0.500 0.000 Er
0.500 0.000 0.500 Er
0.500 0.000 0.000 Mg
```

6.
The following is a calculated powder diffractogram of BaLa2Te5O14. It was derived from a cell relaxed with PBE, using Cu Kα (λ = 1.5418 Å).
No peak broadening, texture or thermal motion is included.

The 12 most intense peaks (15° ≤ 2θ ≤ 90°), low angle first:
- 24.72°, 3.601 Å, intensity 19
- 27.15°, 3.284 Å, intensity 93
- 27.22°, 3.277 Å, intensity 100
- 28.67°, 3.114 Å, intensity 27
- 29.29°, 3.050 Å, intensity 47
- 36.04°, 2.492 Å, intensity 19
- 41.45°, 2.179 Å, intensity 24
- 46.77°, 1.942 Å, intensity 9
- 47.09°, 1.930 Å, intensity 21
- 50.66°, 1.802 Å, intensity 33
- 59.56°, 1.552 Å, intensity 12
- 69.68°, 1.349 Å, intensity 9

Crystal structure
```
BaLa2Te5O14
1.0
9.714 -3.050 0.000
9.714 3.050 0.000
-4.128 0.000 12.780
Ba La Te O
2 4 10 28
Direct
0.000 0.500 0.000 Ba
0.500 0.000 0.500 Ba
0.048 0.604 0.332 La
0.396 0.952 0.168 La
0.604 0.048 0.832 La
0.952 0.396 0.668 La
0.103 0.610 0.661 Te
0.199 0.693 0.971 Te
0.289 0.711 0.250 Te
0.307 0.801 0.529 Te
0.390 0.897 0.839 Te
0.610 0.103 0.161 Te
0.693 0.199 0.471 Te
0.711 0.289 0.750 Te
0.801 0.307 0.029 Te
0.897 0.390 0.339 Te
0.011 0.694 0.893 O
0.032 0.847 0.293 O
0.073 0.591 0.514 O
0.153 0.968 0.207 O
0.182 0.244 0.329 O
0.209 0.627 0.095 O
0.244 0.182 0.829 O
0.283 0.311 0.680 O
0.306 0.989 0.607 O
0.311 0.283 0.180 O
0.373 0.791 0.405 O
0.397 0.472 0.411 O
0.409 0.927 0.986 O
0.472 0.397 0.911 O
0.528 0.603 0.089 O
0.591 0.073 0.014 O
0.603 0.528 0.589 O
0.627 0.209 0.595 O
0.689 0.717 0.820 O
0.694 0.011 0.393 O
0.717 0.689 0.320 O
0.756 0.818 0.171 O
0.791 0.373 0.905 O
0.818 0.756 0.671 O
0.847 0.032 0.793 O
0.927 0.409 0.486 O
0.968 0.153 0.707 O
0.989 0.306 0.107 O
```

7.
The following is a calculated powder diffractogram of Tm2Al2Cu15. It was derived from a cell relaxed with PBE, using Cu Kα (λ = 1.5418 Å).
No peak broadening, texture or thermal motion is included.

The 12 most intense peaks (15° ≤ 2θ ≤ 90°), low angle first:
- 29.78°, 3.000 Å, intensity 22
- 36.52°, 2.461 Å, intensity 21
- 37.41°, 2.404 Å, intensity 19
- 42.48°, 2.128 Å, intensity 100
- 42.81°, 2.112 Å, intensity 22
- 43.24°, 2.093 Å, intensity 14
- 47.81°, 1.903 Å, intensity 15
- 61.62°, 1.505 Å, intensity 8
- 61.85°, 1.500 Å, intensity 11
- 69.85°, 1.347 Å, intensity 11
- 77.60°, 1.230 Å, intensity 11
- 78.20°, 1.222 Å, intensity 12

Crystal structure
```
Tm2Al2Cu15
1.0
4.262 2.461 4.225
-4.262 2.461 4.225
0.000 -4.921 4.225
Tm Al Cu
2 2 15
Direct
0.149 0.149 0.149 Tm
0.851 0.851 0.851 Tm
0.396 0.396 0.396 Al
0.604 0.604 0.604 Al
0.000 0.500 0.500 Cu
0.151 0.151 0.653 Cu
0.151 0.653 0.151 Cu
0.201 0.500 0.799 Cu
0.201 0.799 0.500 Cu
0.347 0.849 0.849 Cu
0.500 0.000 0.500 Cu
0.500 0.201 0.799 Cu
0.500 0.500 0.000 Cu
0.500 0.799 0.201 Cu
0.653 0.151 0.151 Cu
0.799 0.201 0.500 Cu
0.799 0.500 0.201 Cu
0.849 0.347 0.849 Cu
0.849 0.849 0.347 Cu
```

8.
The following is a calculated powder diffractogram of NpCu2PbO8. It was derived from a cell relaxed with PBE, using Cu Kα (λ = 1.5418 Å).
No peak broadening, texture or thermal motion is included.

The 12 most intense peaks (15° ≤ 2θ ≤ 90°), low angle first:
- 18.35°, 4.835 Å, intensity 63
- 26.72°, 3.337 Å, intensity 97
- 31.79°, 2.815 Å, intensity 100
- 32.60°, 2.746 Å, intensity 18
- 38.14°, 2.360 Å, intensity 25
- 50.47°, 1.808 Å, intensity 70
- 55.04°, 1.668 Å, intensity 15
- 59.55°, 1.552 Å, intensity 20
- 62.21°, 1.492 Å, intensity 15
- 64.97°, 1.435 Å, intensity 19
- 77.90°, 1.226 Å, intensity 15
- 85.42°, 1.137 Å, intensity 14

Crystal structure
```
NpCu2PbO8
1.0
-3.337 3.337 3.508
3.337 -3.337 3.508
3.337 3.337 -3.508
Np Cu Pb O
1 2 1 8
Direct
0.000 0.000 0.000 Np
0.250 0.750 0.500 Cu
0.500 0.500 0.000 Cu
0.750 0.250 0.500 Pb
0.053 0.350 0.296 O
0.053 0.757 0.704 O
0.119 0.295 0.824 O
0.243 0.947 0.296 O
0.471 0.295 0.176 O
0.650 0.947 0.704 O
0.705 0.529 0.824 O
0.705 0.881 0.176 O
```

What did the sixth record say?
The following is a calculated powder diffractogram of BaLa2Te5O14. It was derived from a cell relaxed with PBE, using Cu Kα (λ = 1.5418 Å).
No peak broadening, texture or thermal motion is included.

The 12 most intense peaks (15° ≤ 2θ ≤ 90°), low angle first:
- 24.72°, 3.601 Å, intensity 19
- 27.15°, 3.284 Å, intensity 93
- 27.22°, 3.277 Å, intensity 100
- 28.67°, 3.114 Å, intensity 27
- 29.29°, 3.050 Å, intensity 47
- 36.04°, 2.492 Å, intensity 19
- 41.45°, 2.179 Å, intensity 24
- 46.77°, 1.942 Å, intensity 9
- 47.09°, 1.930 Å, intensity 21
- 50.66°, 1.802 Å, intensity 33
- 59.56°, 1.552 Å, intensity 12
- 69.68°, 1.349 Å, intensity 9

Crystal structure
```
BaLa2Te5O14
1.0
9.714 -3.050 0.000
9.714 3.050 0.000
-4.128 0.000 12.780
Ba La Te O
2 4 10 28
Direct
0.000 0.500 0.000 Ba
0.500 0.000 0.500 Ba
0.048 0.604 0.332 La
0.396 0.952 0.168 La
0.604 0.048 0.832 La
0.952 0.396 0.668 La
0.103 0.610 0.661 Te
0.199 0.693 0.971 Te
0.289 0.711 0.250 Te
0.307 0.801 0.529 Te
0.390 0.897 0.839 Te
0.610 0.103 0.161 Te
0.693 0.199 0.471 Te
0.711 0.289 0.750 Te
0.801 0.307 0.029 Te
0.897 0.390 0.339 Te
0.011 0.694 0.893 O
0.032 0.847 0.293 O
0.073 0.591 0.514 O
0.153 0.968 0.207 O
0.182 0.244 0.329 O
0.209 0.627 0.095 O
0.244 0.182 0.829 O
0.283 0.311 0.680 O
0.306 0.989 0.607 O
0.311 0.283 0.180 O
0.373 0.791 0.405 O
0.397 0.472 0.411 O
0.409 0.927 0.986 O
0.472 0.397 0.911 O
0.528 0.603 0.089 O
0.591 0.073 0.014 O
0.603 0.528 0.589 O
0.627 0.209 0.595 O
0.689 0.717 0.820 O
0.694 0.011 0.393 O
0.717 0.689 0.320 O
0.756 0.818 0.171 O
0.791 0.373 0.905 O
0.818 0.756 0.671 O
0.847 0.032 0.793 O
0.927 0.409 0.486 O
0.968 0.153 0.707 O
0.989 0.306 0.107 O
```